Computed X-ray powder pattern
Compound: NdTeC
Radiation: Cu Kα
Structure: a crystal structure in Alexandria, relaxed with PBE
Neutral-atom scattering factors, no anomalous dispersion.

Cell: 6.357 6.357 7.850 Å, 126.20 126.20 38.03°
Sites, in units of the cell vectors:
1 Nd 0.009 0.009 0.271
2 Nd 0.991 0.991 0.729
3 Te 0.304 0.304 0.301
4 Te 0.696 0.696 0.699
5 C 0.487 0.487 0.909
6 C 0.513 0.513 0.091

Main lines, low angle first (10° ≤ 2θ ≤ 90°):
- 2θ = 24.30°, I 52
- 2θ = 29.13°, I 85
- 2θ = 30.22°, I 75
- 2θ = 30.70°, I 49
- 2θ = 31.19°, I 49
- 2θ = 32.61°, I 78
- 2θ = 33.11°, I 84
- 2θ = 35.97°, I 100